Diffraction record for La2PmTl2. The X-ray diffraction stick pattern is calculated, not measured: it uses the GGA-PBE geometry in Alexandria and λ = 1.5418 Å (Cu Kα).

The 12 most intense peaks (10° ≤ 2θ ≤ 80°), by angle:
d (Å)	Position (°2θ)	intensity
2.934	30.47	25.1
2.810	31.84	100.0
2.791	32.07	25.5
2.022	44.82	17.6
1.954	46.48	9.4
1.669	55.02	16.1
1.626	56.60	8.9
1.615	57.02	19.3
1.601	57.58	10.0
1.405	66.55	10.9
1.274	74.45	6.6
1.240	76.89	8.1

Crystal structure
Cell lengths 3.908, 5.582, 14.798 Å; angles 90.00, 97.59, 90.00 degrees
Positions (direct):
La 0.049 0.250 0.096
La 0.238 0.250 0.475
La 0.762 0.750 0.525
La 0.951 0.750 0.904
Pm 0.146 0.750 0.294
Pm 0.854 0.250 0.706
Tl 0.355 0.750 0.711
Tl 0.448 0.250 0.898
Tl 0.552 0.750 0.102
Tl 0.645 0.250 0.289


Diffraction record for La6Pm2Tl. The X-ray diffraction stick pattern is calculated, not measured: it uses the GGA-PBE geometry in Alexandria and λ = 1.5418 Å (Cu Kα).

The 12 most intense peaks (10° ≤ 2θ ≤ 80°), by angle:
d (Å)	Position (°2θ)	intensity
3.334	26.74	13.4
2.949	30.31	100.0
2.843	31.47	34.3
2.822	31.70	73.3
2.377	37.84	27.7
2.355	38.22	25.0
1.880	48.42	13.4
1.824	50.01	18.8
1.686	54.43	13.4
1.673	54.87	18.7
1.527	60.64	22.3
1.475	63.04	12.1

Crystal structure
Cell lengths 10.332, 10.332, 10.332 Å; angles 153.39, 139.57, 49.06 degrees
Positions (direct):
La 0.168 0.394 0.774
La 0.218 0.000 0.218
La 0.427 0.194 0.232
La 0.621 0.394 0.226
La 0.782 0.000 0.782
La 0.962 0.194 0.768
Pm 0.592 0.592 0.000
Pm 0.796 0.796 0.000
Tl 0.294 0.794 0.500


Diffraction record for La8Pm5Tl. The X-ray diffraction stick pattern is calculated, not measured: it uses the GGA-PBE geometry in Alexandria and λ = 1.5418 Å (Cu Kα).

The 12 most intense peaks (10° ≤ 2θ ≤ 80°), by angle:
d (Å)	Position (°2θ)	intensity
3.336	26.72	34.7
3.283	27.16	90.4
2.931	30.50	83.8
2.891	30.93	31.0
2.787	32.12	93.2
2.696	33.23	100.0
2.464	36.46	45.5
2.186	41.31	25.4
1.886	48.25	23.2
1.728	52.99	25.1
1.642	56.00	22.7
1.551	59.60	28.2

Crystal structure
Cell lengths 8.752, 8.752, 8.752 Å; angles 105.87, 105.87, 116.94 degrees
Positions (direct):
La 0.040 0.449 0.084
La 0.044 0.960 0.409
La 0.095 0.412 0.645
La 0.364 0.956 0.916
La 0.549 0.905 0.317
La 0.551 0.636 0.591
La 0.588 0.233 0.683
La 0.767 0.451 0.355
Pm 0.289 0.202 0.215
Pm 0.500 0.500 0.000
Pm 0.798 0.013 0.087
Pm 0.926 0.711 0.913
Pm 0.987 0.074 0.785
Tl 0.250 0.750 0.500


Diffraction record for LaPm12Tl6. The X-ray diffraction stick pattern is calculated, not measured: it uses the GGA-PBE geometry in Alexandria and λ = 1.5418 Å (Cu Kα).

The 12 most intense peaks (10° ≤ 2θ ≤ 80°), by angle:
d (Å)	Position (°2θ)	intensity
6.994	12.66	40.7
3.497	25.47	34.2
3.370	26.45	50.9
3.226	27.65	100.0
2.903	30.80	37.8
2.785	32.14	41.9
2.702	33.16	44.2
2.682	33.42	83.0
2.604	34.44	79.8
2.234	40.38	62.7
2.128	42.48	38.8
1.902	47.82	31.4

Crystal structure
Cell lengths 8.945, 8.945, 8.945 Å; angles 102.87, 102.87, 102.87 degrees
Positions (direct):
La 0.000 0.000 0.000
Pm 0.111 0.500 0.889
Pm 0.111 0.889 0.500
Pm 0.171 0.434 0.434
Pm 0.434 0.171 0.434
Pm 0.434 0.434 0.171
Pm 0.500 0.111 0.889
Pm 0.500 0.889 0.111
Pm 0.566 0.566 0.829
Pm 0.566 0.829 0.566
Pm 0.829 0.566 0.566
Pm 0.889 0.111 0.500
Pm 0.889 0.500 0.111
Tl 0.254 0.254 0.721
Tl 0.254 0.721 0.254
Tl 0.279 0.746 0.746
Tl 0.721 0.254 0.254
Tl 0.746 0.279 0.746
Tl 0.746 0.746 0.279


Diffraction record for La2Pm7TmTl2. The X-ray diffraction stick pattern is calculated, not measured: it uses the GGA-PBE geometry in Alexandria and λ = 1.5418 Å (Cu Kα).

The 12 most intense peaks (10° ≤ 2θ ≤ 80°), by angle:
d (Å)	Position (°2θ)	intensity
3.382	26.36	14.3
2.944	30.36	100.0
2.909	30.74	45.8
2.689	33.32	37.6
2.625	34.15	12.3
2.466	36.43	30.7
2.438	36.87	12.6
2.359	38.15	22.4
1.818	50.19	22.2
1.597	57.71	15.2
1.505	61.62	13.9
1.491	62.26	26.9

Crystal structure
Cell lengths 4.933, 4.933, 16.134 Å; angles 90.00, 90.00, 90.98 degrees
Positions (direct):
La 0.000 0.000 0.168
La 0.000 0.000 0.832
Pm 0.000 0.000 0.500
Pm 0.000 0.500 0.336
Pm 0.000 0.500 0.664
Pm 0.276 0.724 0.000
Pm 0.500 0.000 0.336
Pm 0.500 0.000 0.664
Pm 0.724 0.276 0.000
Tm 0.500 0.500 0.500
Tl 0.500 0.500 0.182
Tl 0.500 0.500 0.818


Diffraction record for LaPm2Tl2Zn2. The X-ray diffraction stick pattern is calculated, not measured: it uses the GGA-PBE geometry in Alexandria and λ = 1.5418 Å (Cu Kα).

The 12 most intense peaks (10° ≤ 2θ ≤ 80°), by angle:
d (Å)	Position (°2θ)	intensity
4.725	18.78	15.5
4.136	21.48	13.3
4.010	22.17	15.6
2.909	30.74	100.0
2.703	33.14	58.1
2.414	37.25	99.0
1.858	49.04	27.3
1.801	50.70	17.8
1.488	62.41	30.2
1.472	63.15	25.4
1.443	64.57	17.3
1.394	67.16	17.6

Crystal structure
Cell lengths 9.852, 9.852, 9.852 Å; angles 28.37, 28.37, 28.37 degrees
Positions (direct):
La 0.000 0.000 0.000
Pm 0.130 0.130 0.130
Pm 0.870 0.870 0.870
Tl 0.265 0.265 0.265
Tl 0.735 0.735 0.735
Zn 0.417 0.417 0.417
Zn 0.583 0.583 0.583


Diffraction record for LaPm3Tm7. The X-ray diffraction stick pattern is calculated, not measured: it uses the GGA-PBE geometry in Alexandria and λ = 1.5418 Å (Cu Kα).

The 12 most intense peaks (10° ≤ 2θ ≤ 80°), by angle:
d (Å)	Position (°2θ)	intensity
3.482	25.58	12.7
2.841	31.49	26.5
2.816	31.77	100.0
2.798	31.99	49.8
2.775	32.26	15.8
2.753	32.52	54.8
2.715	33.00	54.6
1.955	46.46	14.5
1.741	52.56	17.2
1.602	57.55	15.7
1.582	58.34	13.3
1.472	63.19	19.7

Crystal structure
Cell lengths 6.965, 5.506, 9.942 Å; angles 90.00, 109.70, 90.00 degrees
Positions (direct):
La 0.000 0.000 0.000
Pm 0.283 0.500 0.498
Pm 0.500 0.000 0.000
Pm 0.717 0.500 0.502
Tm 0.000 0.000 0.500
Tm 0.145 0.500 0.788
Tm 0.324 0.500 0.141
Tm 0.422 0.000 0.331
Tm 0.578 0.000 0.669
Tm 0.676 0.500 0.859
Tm 0.855 0.500 0.212


Diffraction record for La2Pm6Tm5. The X-ray diffraction stick pattern is calculated, not measured: it uses the GGA-PBE geometry in Alexandria and λ = 1.5418 Å (Cu Kα).

The 12 most intense peaks (10° ≤ 2θ ≤ 80°), by angle:
d (Å)	Position (°2θ)	intensity
3.100	28.80	12.7
2.966	30.13	13.3
2.929	30.52	31.6
2.875	31.10	27.5
2.839	31.51	23.8
2.825	31.67	100.0
2.651	33.82	23.8
2.576	34.83	13.9
2.491	36.06	15.5
1.821	50.09	13.5
1.760	51.94	11.2
1.532	60.43	19.4

Crystal structure
Cell lengths 11.837, 20.405, 3.642 Å; angles 90.00, 90.00, 90.00 degrees
Positions (direct):
La 0.165 0.218 0.000
La 0.335 0.718 0.000
La 0.665 0.282 0.000
La 0.835 0.782 0.000
Pm 0.058 0.924 0.000
Pm 0.080 0.636 0.000
Pm 0.178 0.377 0.500
Pm 0.322 0.877 0.500
Pm 0.420 0.136 0.000
Pm 0.442 0.424 0.000
Pm 0.558 0.576 0.000
Pm 0.580 0.864 0.000
Pm 0.678 0.123 0.500
Pm 0.822 0.623 0.500
Pm 0.920 0.364 0.000
Pm 0.942 0.076 0.000
Tm 0.000 0.500 0.500
Tm 0.096 0.779 0.500
Tm 0.200 0.054 0.500
Tm 0.300 0.554 0.500
Tm 0.404 0.279 0.500
Tm 0.500 0.000 0.500
Tm 0.596 0.721 0.500
Tm 0.700 0.446 0.500
Tm 0.800 0.946 0.500
Tm 0.904 0.221 0.500